1.
Starting from a structure optimized by DFT (PBE+U), the PXRD pattern of DyCrO5 was simulated for Cu Kα, 1.54184 Å.

```
DyCrO5
1.0
8.250 0.000 0.000
0.000 11.571 0.000
-8.184 0.000 8.315
Dy Cr O
8 8 40
direct
0.199 0.062 0.333
0.199 0.438 0.833
0.247 0.578 0.178
0.247 0.922 0.678
0.753 0.078 0.322
0.753 0.422 0.822
0.801 0.562 0.167
0.801 0.938 0.667
0.137 0.172 0.998
0.137 0.328 0.498
0.406 0.689 0.545
0.406 0.811 0.045
0.594 0.189 0.955
0.594 0.311 0.455
0.863 0.672 0.502
0.863 0.828 0.002
0.058 0.585 0.655
0.058 0.915 0.155
0.065 0.540 0.920
0.065 0.960 0.420
0.090 0.190 0.433
0.090 0.310 0.933
0.136 0.165 0.138
0.136 0.335 0.638
0.209 0.619 0.367
0.209 0.881 0.867
0.293 0.742 0.607
0.293 0.758 0.107
0.389 0.098 0.815
0.389 0.402 0.315
0.392 0.130 0.082
0.392 0.370 0.582
0.434 0.516 0.096
0.434 0.984 0.596
0.494 0.195 0.478
0.494 0.305 0.978
0.506 0.695 0.022
0.506 0.805 0.522
0.566 0.016 0.404
0.566 0.484 0.904
0.608 0.630 0.418
0.608 0.870 0.918
0.611 0.598 0.685
0.611 0.902 0.185
0.707 0.242 0.893
0.707 0.258 0.393
0.791 0.119 0.133
0.791 0.381 0.633
0.864 0.665 0.362
0.864 0.835 0.862
0.910 0.690 0.067
0.910 0.810 0.567
0.935 0.040 0.580
0.935 0.460 0.080
0.942 0.085 0.845
0.942 0.415 0.345
```

Largest 6 diffraction maxima, low angle first, 5° ≤ 2θ ≤ 70°:
- 13.1°, intensity 42
- 18.7°, intensity 99
- 25.2°, intensity 49
- 25.4°, intensity 100
- 28.6°, intensity 48
- 31.6°, intensity 44

2.
Starting from a structure optimized by DFT (PBE+U), the PXRD pattern of DyCrO3 was simulated for Cu Kα, 1.54184 Å.

```
DyCrO3
1.0
5.612 0.000 0.000
0.000 7.655 0.000
0.000 0.000 5.305
Dy Cr O
4 4 12
direct
0.068 0.250 0.020
0.432 0.750 0.520
0.568 0.250 0.480
0.932 0.750 0.980
0.000 0.000 0.500
0.000 0.500 0.500
0.500 0.000 0.000
0.500 0.500 0.000
0.041 0.750 0.387
0.197 0.558 0.808
0.197 0.942 0.808
0.303 0.058 0.308
0.303 0.442 0.308
0.459 0.250 0.887
0.541 0.750 0.113
0.697 0.558 0.692
0.697 0.942 0.692
0.803 0.058 0.192
0.803 0.442 0.192
0.959 0.250 0.613
```

Largest 6 diffraction maxima, low angle first, 5° ≤ 2θ ≤ 70°:
- 23.1°, intensity 23
- 25.9°, intensity 23
- 33.0°, intensity 100
- 33.8°, intensity 24
- 53.3°, intensity 20
- 59.9°, intensity 21

3.
Starting from a structure optimized by DFT (PBE+U), the PXRD pattern of DyCr2O2 was simulated for Cu Kα, 1.54184 Å.

```
DyCr2O2
1.0
-5.383 5.383 3.459
5.383 -5.383 3.459
5.383 5.383 -3.459
Dy Cr O
4 8 8
direct
0.000 0.000 0.000
0.000 0.000 0.500
0.000 0.500 0.000
0.500 0.000 0.500
0.042 0.423 0.619
0.304 0.423 0.881
0.423 0.042 0.119
0.423 0.304 0.381
0.577 0.696 0.619
0.577 0.958 0.881
0.696 0.577 0.119
0.958 0.577 0.381
0.271 0.707 0.564
0.293 0.356 0.564
0.293 0.729 0.936
0.356 0.293 0.064
0.644 0.707 0.936
0.707 0.271 0.064
0.707 0.644 0.436
0.729 0.293 0.436
```

Largest 6 diffraction maxima, low angle first, 5° ≤ 2θ ≤ 70°:
- 22.5°, intensity 45
- 23.4°, intensity 100
- 30.7°, intensity 75
- 33.3°, intensity 34
- 36.8°, intensity 63
- 43.5°, intensity 33

4.
Starting from a structure optimized by DFT (PBE+U), the PXRD pattern of Dy2CrSbO7 was simulated for Cu Kα, 1.54184 Å.

```
Dy2CrSbO7
1.0
-3.630 3.667 5.139
3.630 -3.667 5.139
3.630 3.667 -5.139
Dy Cr Sb O
4 2 2 14
direct
0.000 0.000 0.000
0.500 0.000 0.000
0.500 0.000 0.500
0.500 0.500 0.500
0.000 0.000 0.500
0.000 0.500 0.000
0.000 0.500 0.500
0.500 0.500 0.000
0.089 0.420 0.257
0.089 0.832 0.668
0.090 0.840 0.250
0.332 0.582 0.750
0.337 0.168 0.757
0.337 0.580 0.168
0.378 0.128 0.250
0.622 0.872 0.750
0.663 0.420 0.832
0.663 0.832 0.243
0.668 0.418 0.250
0.910 0.160 0.750
0.911 0.168 0.332
0.911 0.580 0.743
```

Largest 6 diffraction maxima, low angle first, 5° ≤ 2θ ≤ 70°:
- 29.9°, intensity 100
- 30.1°, intensity 100
- 34.8°, intensity 43
- 50.1°, intensity 63
- 59.3°, intensity 29
- 59.6°, intensity 42